Simulated powder diffractogram of MnCuN2F for Cu Kα, 1.54184 Å, from a PBE+U-relaxed structure.
Kinematic intensities with the Lorentz-polarization factor, no thermal factor.

Cell and atoms:
```
data_MnCuN2F
_symmetry_space_group_name_H-M 'P 1'
_symmetry_Int_Tables_number 1
_cell_length_a 3.826
_cell_length_b 3.826
_cell_length_c 3.962
_cell_angle_alpha 90.00
_cell_angle_beta 90.00
_cell_angle_gamma 90.00
loop_
_symmetry_equiv_pos_as_xyz
'x,y,z'
loop_
_atom_site_label
_atom_site_type_symbol
_atom_site_fract_x
_atom_site_fract_y
_atom_site_fract_z
Mn1 Mn 0.000 0.000 0.000
Cu1 Cu 0.500 0.500 0.500
N1 N 0.000 0.500 0.000
N2 N 0.500 0.000 0.000
F1 F 0.000 0.000 0.500
```

Most intense lines, 5 to 70 degrees two-theta, by intensity:
hkl	two_theta	I (rel.)
1 0 1	32.54	100
1 1 0	33.11	60
2 0 0	47.53	42
2 1 1	58.79	34
2 0 2	68.15	24
0 0 2	45.81	24
1 1 2	57.68	23
1 1 1	40.37	17